(1)
Diffraction record for MgMn12O17F7. The powder XRD pattern is theoretical, not measured: it uses a structure optimized by DFT (GGA+U) and λ = 1.5418 Å (Cu Kα).

Largest 8 diffraction maxima, in order of falling intensity, 2θ from 5° to 70°:
24.07°, intensity 100
30.32°, intensity 99
30.45°, intensity 72
31.27°, intensity 68
25.30°, intensity 55
53.47°, intensity 50
29.10°, intensity 44
50.72°, intensity 33

Atomic structure:
```
MgMn12O17F7
1.0
4.642 0.000 0.000
0.291 5.746 0.000
0.170 0.963 15.402
Mg Mn O F
1 12 17 7
direct
0.000 0.000 0.000 Mg
0.092 0.464 0.006 Mn
0.391 0.755 0.692 Mn
0.422 0.057 0.856 Mn
0.428 0.135 0.534 Mn
0.434 0.172 0.214 Mn
0.435 0.825 0.378 Mn
0.557 0.738 0.060 Mn
0.845 0.533 0.845 Mn
0.874 0.291 0.685 Mn
0.896 0.592 0.525 Mn
0.904 0.355 0.364 Mn
0.924 0.671 0.209 Mn
0.087 0.519 0.747 O
0.102 0.707 0.084 O
0.104 0.271 0.913 O
0.122 0.337 0.586 O
0.126 0.383 0.256 O
0.131 0.587 0.423 O
0.571 0.991 0.979 O
0.592 0.778 0.800 O
0.623 0.064 0.639 O
0.636 0.851 0.481 O
0.649 0.118 0.320 O
0.652 0.301 0.792 O
0.657 0.542 0.629 O
0.658 0.920 0.158 O
0.678 0.523 0.971 O
0.685 0.374 0.469 O
0.685 0.605 0.310 O
0.104 0.768 0.907 F
0.135 0.036 0.745 F
0.145 0.815 0.585 F
0.162 0.191 0.093 F
0.171 0.108 0.428 F
0.199 0.884 0.272 F
0.618 0.452 0.139 F
```



(2)
Diffraction record for Na3CoBPO7. The powder XRD pattern is theoretical, not measured: it uses a structure optimized by DFT (GGA+U) and λ = 1.5418 Å (Cu Kα).

Largest 8 diffraction maxima, in order of falling intensity, 2θ from 5° to 70°:
9.97°, intensity 100
26.35°, intensity 86
34.58°, intensity 82
33.33°, intensity 80
33.06°, intensity 60
16.48°, intensity 40
20.06°, intensity 38
54.25°, intensity 30

Atomic structure:
```
Na3CoBPO7
1.0
5.186 0.000 0.000
0.240 8.868 0.000
0.003 0.008 13.528
Na Co B P O
12 4 4 4 28
direct
0.000 0.000 0.000 Na
0.000 0.002 0.261 Na
0.006 0.009 0.755 Na
0.006 0.010 0.503 Na
0.015 0.348 0.628 Na
0.025 0.348 0.132 Na
0.485 0.185 0.877 Na
0.490 0.187 0.382 Na
0.504 0.527 0.253 Na
0.506 0.525 0.507 Na
0.509 0.531 0.749 Na
0.510 0.532 0.009 Na
0.031 0.609 0.381 Co
0.037 0.604 0.879 Co
0.474 0.929 0.131 Co
0.479 0.925 0.629 Co
0.513 0.201 0.630 B
0.530 0.196 0.130 B
0.981 0.338 0.880 B
0.991 0.334 0.379 B
0.533 0.848 0.382 P
0.535 0.844 0.878 P
0.975 0.690 0.131 P
0.977 0.686 0.628 P
0.037 0.587 0.041 O
0.037 0.592 0.224 O
0.045 0.585 0.719 O
0.046 0.590 0.535 O
0.129 0.834 0.630 O
0.131 0.836 0.130 O
0.217 0.410 0.882 O
0.231 0.399 0.379 O
0.274 0.135 0.631 O
0.292 0.124 0.130 O
0.379 0.697 0.879 O
0.380 0.699 0.380 O
0.463 0.949 0.292 O
0.465 0.944 0.475 O
0.470 0.947 0.968 O
0.472 0.941 0.785 O
0.560 0.345 0.129 O
0.560 0.349 0.630 O
0.679 0.736 0.130 O
0.681 0.726 0.629 O
0.714 0.088 0.630 O
0.728 0.084 0.130 O
0.784 0.450 0.879 O
0.792 0.447 0.379 O
0.828 0.807 0.381 O
0.830 0.799 0.879 O
0.944 0.185 0.380 O
0.950 0.189 0.880 O
```



(3)
Diffraction record for MgFe6O7F5. The powder XRD pattern is theoretical, not measured: it uses a structure optimized by DFT (GGA+U) and λ = 1.5418 Å (Cu Kα).

Largest 8 diffraction maxima, in order of falling intensity, 2θ from 5° to 70°:
23.81°, intensity 100
26.95°, intensity 74
34.03°, intensity 29
33.93°, intensity 28
59.95°, intensity 23
34.72°, intensity 22
48.71°, intensity 21
34.25°, intensity 20

Atomic structure:
```
MgFe6O7F5
1.0
5.124 0.000 0.000
0.596 5.697 0.000
0.581 0.795 7.854
Mg Fe O F
1 6 7 5
direct
0.000 0.000 0.000 Mg
0.029 0.397 0.182 Fe
0.041 0.626 0.809 Fe
0.488 0.792 0.144 Fe
0.524 0.507 0.489 Fe
0.531 0.121 0.776 Fe
0.998 0.998 0.449 Fe
0.195 0.657 0.044 O
0.316 0.801 0.383 O
0.331 0.455 0.709 O
0.713 0.843 0.924 O
0.725 0.569 0.266 O
0.743 0.213 0.559 O
0.886 0.089 0.228 O
0.170 0.957 0.751 F
0.242 0.308 0.381 F
0.335 0.132 0.047 F
0.836 0.710 0.591 F
0.883 0.346 0.929 F
```



(4)
Diffraction record for SrCa7Ti2Mn6O20. The powder XRD pattern is theoretical, not measured: it uses a structure optimized by DFT (GGA+U) and λ = 1.5418 Å (Cu Kα).

Largest 8 diffraction maxima, in order of falling intensity, 2θ from 5° to 70°:
32.16°, intensity 100
31.73°, intensity 38
32.23°, intensity 37
32.47°, intensity 28
45.98°, intensity 25
46.77°, intensity 22
45.57°, intensity 16
11.12°, intensity 14

Atomic structure:
```
SrCa7Ti2Mn6O20
1.0
7.769 0.000 0.000
-0.066 7.897 0.000
-0.014 -0.095 7.962
Sr Ca Ti Mn O
1 7 2 6 20
direct
0.000 0.000 0.000 Sr
0.488 0.506 0.007 Ca
0.508 0.494 0.585 Ca
0.513 0.021 0.577 Ca
0.520 0.002 0.030 Ca
0.945 0.008 0.544 Ca
0.946 0.490 0.580 Ca
0.953 0.491 0.014 Ca
0.224 0.262 0.292 Ti
0.231 0.690 0.276 Ti
0.238 0.741 0.757 Mn
0.244 0.244 0.756 Mn
0.717 0.745 0.291 Mn
0.737 0.246 0.800 Mn
0.737 0.748 0.784 Mn
0.739 0.251 0.291 Mn
0.006 0.234 0.361 O
0.020 0.770 0.214 O
0.208 0.992 0.707 O
0.227 0.471 0.177 O
0.236 0.662 0.499 O
0.271 0.107 0.132 O
0.277 0.491 0.795 O
0.353 0.256 0.482 O
0.441 0.758 0.194 O
0.488 0.214 0.823 O
0.489 0.778 0.819 O
0.695 0.002 0.319 O
0.715 0.281 0.541 O
0.715 0.507 0.823 O
0.720 0.497 0.227 O
0.743 0.705 0.535 O
0.761 0.988 0.768 O
0.764 0.210 0.051 O
0.987 0.717 0.825 O
0.992 0.275 0.783 O
```



(5)
Diffraction record for Eu2ZnWO6. The powder XRD pattern is theoretical, not measured: it uses a structure optimized by DFT (GGA+U) and λ = 1.5418 Å (Cu Kα).

Largest 8 diffraction maxima, in order of falling intensity, 2θ from 5° to 70°:
31.45°, intensity 100
55.99°, intensity 40
45.07°, intensity 28
65.64°, intensity 18
19.10°, intensity 11
37.05°, intensity 5
38.77°, intensity 3
49.37°, intensity 2

Atomic structure:
```
Eu2ZnWO6
1.0
0.000 4.023 4.023
4.023 0.000 4.023
4.023 4.023 0.000
Eu Zn W O
2 1 1 6
direct
0.250 0.250 0.250 Eu
0.750 0.750 0.750 Eu
0.000 0.000 0.000 Zn
0.500 0.500 0.500 W
0.258 0.258 0.742 O
0.258 0.742 0.258 O
0.258 0.742 0.742 O
0.742 0.258 0.258 O
0.742 0.258 0.742 O
0.742 0.742 0.258 O
```



(6)
Diffraction record for Li2VOF4. The powder XRD pattern is theoretical, not measured: it uses a structure optimized by DFT (GGA+U) and λ = 1.5418 Å (Cu Kα).

Largest 8 diffraction maxima, in order of falling intensity, 2θ from 5° to 70°:
19.61°, intensity 100
18.15°, intensity 88
27.19°, intensity 46
40.00°, intensity 39
39.25°, intensity 36
31.27°, intensity 34
32.59°, intensity 28
43.46°, intensity 27

Atomic structure:
```
Li2VOF4
1.0
5.223 -2.553 0.000
5.223 2.553 0.000
-2.432 0.000 6.467
Li V O F
4 2 2 8
direct
0.143 0.146 0.245 Li
0.146 0.143 0.745 Li
0.854 0.857 0.255 Li
0.857 0.854 0.755 Li
0.500 0.500 0.000 V
0.500 0.500 0.500 V
0.365 0.635 0.750 O
0.635 0.365 0.250 O
0.089 0.738 0.039 F
0.163 0.482 0.360 F
0.262 0.911 0.461 F
0.482 0.163 0.860 F
0.518 0.837 0.140 F
0.738 0.089 0.539 F
0.837 0.518 0.640 F
0.911 0.262 0.961 F
```



(7)
Diffraction record for MgMn6O7F5. The powder XRD pattern is theoretical, not measured: it uses a structure optimized by DFT (GGA+U) and λ = 1.5418 Å (Cu Kα).

Largest 8 diffraction maxima, in order of falling intensity, 2θ from 5° to 70°:
23.21°, intensity 100
27.75°, intensity 94
34.53°, intensity 44
35.46°, intensity 34
34.80°, intensity 25
37.63°, intensity 24
57.34°, intensity 23
35.33°, intensity 23

Atomic structure:
```
MgMn6O7F5
1.0
5.160 0.000 0.000
0.852 5.710 0.000
0.839 0.757 7.595
Mg Mn O F
1 6 7 5
direct
0.000 0.000 0.000 Mg
0.010 0.973 0.501 Mn
0.107 0.392 0.186 Mn
0.493 0.162 0.810 Mn
0.494 0.502 0.506 Mn
0.511 0.823 0.178 Mn
0.936 0.607 0.812 Mn
0.146 0.315 0.916 O
0.154 0.661 0.589 O
0.170 0.008 0.248 O
0.396 0.537 0.270 O
0.630 0.445 0.732 O
0.840 0.961 0.751 O
0.857 0.679 0.062 O
0.331 0.170 0.568 F
0.356 0.862 0.913 F
0.639 0.130 0.079 F
0.687 0.805 0.419 F
0.838 0.299 0.418 F
```



(8)
Diffraction record for Li9Mn2Co5O16. The powder XRD pattern is theoretical, not measured: it uses a structure optimized by DFT (GGA+U) and λ = 1.5418 Å (Cu Kα).

Largest 8 diffraction maxima, in order of falling intensity, 2θ from 5° to 70°:
18.41°, intensity 100
43.65°, intensity 52
43.30°, intensity 27
35.97°, intensity 26
63.28°, intensity 21
35.73°, intensity 14
63.06°, intensity 14
37.52°, intensity 11

Atomic structure:
```
Li9Mn2Co5O16
1.0
5.099 0.000 0.000
0.000 5.848 0.000
-1.640 0.000 9.641
Li Mn Co O
9 2 5 16
direct
0.000 0.000 0.000 Li
0.243 0.245 0.231 Li
0.243 0.755 0.231 Li
0.245 0.000 0.765 Li
0.259 0.500 0.760 Li
0.741 0.500 0.240 Li
0.755 0.000 0.235 Li
0.757 0.245 0.769 Li
0.757 0.755 0.769 Li
0.000 0.252 0.500 Mn
0.000 0.748 0.500 Mn
0.000 0.500 0.000 Co
0.500 0.000 0.500 Co
0.500 0.243 0.000 Co
0.500 0.500 0.500 Co
0.500 0.757 0.000 Co
0.097 0.000 0.385 O
0.104 0.500 0.387 O
0.135 0.272 0.892 O
0.135 0.728 0.892 O
0.351 0.500 0.116 O
0.359 0.263 0.606 O
0.359 0.737 0.606 O
0.396 0.000 0.124 O
0.604 0.000 0.876 O
0.641 0.263 0.394 O
0.641 0.737 0.394 O
0.649 0.500 0.884 O
0.865 0.272 0.108 O
0.865 0.728 0.108 O
0.896 0.500 0.613 O
0.903 0.000 0.615 O
```



(9)
Diffraction record for Sr2MgZrCrO6. The powder XRD pattern is theoretical, not measured: it uses a structure optimized by DFT (GGA+U) and λ = 1.5418 Å (Cu Kα).

Largest 8 diffraction maxima, in order of falling intensity, 2θ from 5° to 70°:
30.59°, intensity 100
29.44°, intensity 89
30.95°, intensity 73
32.74°, intensity 66
32.21°, intensity 55
28.15°, intensity 53
31.38°, intensity 50
27.65°, intensity 43

Atomic structure:
```
Sr2MgZrCrO6
1.0
5.788 0.000 0.000
-2.669 5.211 0.000
-2.755 -1.631 5.547
Sr Mg Zr Cr O
2 1 1 1 6
direct
0.000 0.000 0.000 Sr
0.185 0.631 0.618 Sr
0.488 0.289 0.529 Mg
0.621 0.866 0.326 Zr
0.719 0.390 0.051 Cr
0.068 0.160 0.434 O
0.163 0.671 0.214 O
0.547 0.191 0.260 O
0.563 0.654 0.035 O
0.636 0.124 0.773 O
0.737 0.685 0.597 O
```